1.
Structure and calculated X-ray powder pattern of GdGaSiIr2 (DFT lattice parameters and positions (GGA-PBE); copper Kα).
Kinematic intensities with the Lorentz-polarization factor, no thermal factor.

Structure:
a = 4.124 Å, b = 4.124 Å, c = 10.333 Å
α = 90.00°, β = 90.00°, γ = 90.00°
Fractional positions:
Gd 0.250 0.250 0.247
Gd 0.750 0.750 0.753
Ga 0.250 0.750 0.500
Ga 0.750 0.250 0.500
Si 0.250 0.250 0.876
Si 0.750 0.750 0.124
Ir 0.250 0.250 0.648
Ir 0.250 0.750 0.000
Ir 0.750 0.250 0.000
Ir 0.750 0.750 0.352

The 10 most intense peaks (10° ≤ 2θ ≤ 80°), most intense first:
2θ/deg	I_rel
35.34	100
43.90	50
33.91	30
31.88	25
49.32	23
75.13	22
27.68	21
46.99	18
63.83	18
68.14	18

2.
Structure and calculated X-ray powder pattern of LaGdMg2Ga2 (DFT lattice parameters and positions (GGA-PBE); copper Kα).
Kinematic intensities with the Lorentz-polarization factor, no thermal factor.

Structure:
a = 4.732 Å, b = 4.732 Å, c = 7.611 Å
α = 90.00°, β = 90.00°, γ = 120.00°
Fractional positions:
La 0.000 0.000 0.000
Gd 0.000 0.000 0.500
Mg 0.333 0.667 0.749
Mg 0.667 0.333 0.285
Ga 0.333 0.667 0.225
Ga 0.667 0.333 0.700

The 10 most intense peaks (10° ≤ 2θ ≤ 80°), most intense first:
2θ/deg	I_rel
32.10	100
38.03	52
21.68	34
50.59	28
65.00	26
62.65	18
24.67	10
53.06	9
68.71	9
47.80	7

3.
Structure and calculated X-ray powder pattern of NdGdGa2Pd4 (DFT lattice parameters and positions (GGA-PBE); copper Kα).
Kinematic intensities with the Lorentz-polarization factor, no thermal factor.

Structure:
a = 4.439 Å, b = 4.439 Å, c = 9.243 Å
α = 90.00°, β = 90.00°, γ = 120.00°
Fractional positions:
Nd 0.000 0.000 0.000
Gd 0.667 0.333 0.500
Ga 0.333 0.667 0.254
Ga 0.333 0.667 0.746
Pd 0.000 0.000 0.333
Pd 0.000 0.000 0.667
Pd 0.667 0.333 0.177
Pd 0.667 0.333 0.823

The 10 most intense peaks (10° ≤ 2θ ≤ 80°), most intense first:
2θ/deg	I_rel
37.41	100
40.65	77
56.43	30
71.84	29
23.14	21
30.24	14
73.98	13
65.25	12
75.06	11
79.78	7

4.
Structure and calculated X-ray powder pattern of Gd3Ga2Ni6 (DFT lattice parameters and positions (GGA-PBE); copper Kα).
Kinematic intensities with the Lorentz-polarization factor, no thermal factor.

Structure:
a = 7.732 Å, b = 7.732 Å, c = 7.732 Å
α = 109.47°, β = 109.47°, γ = 109.47°
Fractional positions:
Gd 0.000 0.290 0.290
Gd 0.000 0.710 0.710
Gd 0.290 0.000 0.290
Gd 0.290 0.290 0.000
Gd 0.710 0.000 0.710
Gd 0.710 0.710 0.000
Ga 0.000 0.000 0.500
Ga 0.000 0.500 0.000
Ga 0.500 0.000 0.000
Ga 0.500 0.500 0.500
Ni 0.000 0.337 0.663
Ni 0.000 0.663 0.337
Ni 0.327 0.663 0.663
Ni 0.337 0.000 0.663
Ni 0.337 0.337 0.673
Ni 0.337 0.663 0.000
Ni 0.337 0.673 0.337
Ni 0.663 0.000 0.337
Ni 0.663 0.327 0.663
Ni 0.663 0.337 0.000
Ni 0.663 0.663 0.327
Ni 0.673 0.337 0.337

The 10 most intense peaks (10° ≤ 2θ ≤ 80°), most intense first:
2θ/deg	I_rel
42.98	100
34.81	44
31.69	37
40.41	27
78.76	26
37.70	26
69.88	20
24.42	19
56.45	18
64.31	17

5.
Structure and calculated X-ray powder pattern of PrGd2Ga3Ni3 (DFT lattice parameters and positions (GGA-PBE); copper Kα).
Kinematic intensities with the Lorentz-polarization factor, no thermal factor.

Structure:
a = 3.824 Å, b = 7.145 Å, c = 7.145 Å
α = 119.76°, β = 90.00°, γ = 90.00°
Fractional positions:
Pr 0.000 0.000 0.000
Gd 0.000 0.172 0.584
Gd 0.000 0.584 0.172
Ga 0.500 0.348 0.348
Ga 0.500 0.578 0.827
Ga 0.500 0.827 0.578
Ni 0.000 0.583 0.583
Ni 0.500 0.256 0.916
Ni 0.500 0.916 0.256

The 10 most intense peaks (10° ≤ 2θ ≤ 80°), most intense first:
2θ/deg	I_rel
34.33	100
37.36	89
38.49	33
47.56	23
38.36	16
70.80	15
62.71	15
24.89	13
43.78	13
28.79	11

6.
Structure and calculated X-ray powder pattern of TbGd2Ga3Si2Ni (DFT lattice parameters and positions (GGA-PBE); copper Kα).
Kinematic intensities with the Lorentz-polarization factor, no thermal factor.

Structure:
a = 4.176 Å, b = 6.913 Å, c = 6.913 Å
α = 119.94°, β = 90.00°, γ = 90.00°
Fractional positions:
Tb 0.000 0.000 0.000
Gd 0.000 0.194 0.597
Gd 0.000 0.597 0.194
Ga 0.500 0.362 0.362
Ga 0.500 0.598 0.833
Ga 0.500 0.833 0.598
Si 0.500 0.263 0.931
Si 0.500 0.931 0.263
Ni 0.000 0.598 0.598

The 10 most intense peaks (10° ≤ 2θ ≤ 80°), most intense first:
2θ/deg	I_rel
33.65	100
36.94	63
39.83	39
59.94	28
25.77	24
43.33	24
60.31	23
72.42	16
29.84	16
21.28	15

7.
Structure and calculated X-ray powder pattern of Tb2GdGa3Si2Ni (DFT lattice parameters and positions (GGA-PBE); copper Kα).
Kinematic intensities with the Lorentz-polarization factor, no thermal factor.

Structure:
a = 4.171 Å, b = 6.907 Å, c = 6.907 Å
α = 120.05°, β = 90.00°, γ = 90.00°
Fractional positions:
Tb 0.000 0.201 0.799
Tb 0.000 0.799 0.201
Gd 0.000 0.605 0.605
Ga 0.500 0.201 0.436
Ga 0.500 0.436 0.201
Ga 0.500 0.966 0.966
Si 0.500 0.534 0.869
Si 0.500 0.869 0.534
Ni 0.000 0.200 0.200

The 10 most intense peaks (10° ≤ 2θ ≤ 80°), most intense first:
2θ/deg	I_rel
33.70	100
36.99	62
39.88	39
60.03	28
25.80	24
43.39	24
60.39	23
72.53	16
29.88	16
21.30	15

8.
Structure and calculated X-ray powder pattern of Gd2GaO4 (DFT lattice parameters and positions (GGA-PBE); copper Kα).
Kinematic intensities with the Lorentz-polarization factor, no thermal factor.

Structure:
a = 6.520 Å, b = 6.520 Å, c = 6.520 Å
α = 60.00°, β = 60.00°, γ = 60.00°
Fractional positions:
Gd 0.000 0.000 0.000
Gd 0.000 0.000 0.500
Gd 0.000 0.500 0.000
Gd 0.500 0.000 0.000
Ga 0.375 0.375 0.375
Ga 0.625 0.625 0.625
O 0.256 0.256 0.256
O 0.256 0.256 0.732
O 0.256 0.732 0.256
O 0.268 0.744 0.744
O 0.732 0.256 0.256
O 0.744 0.268 0.744
O 0.744 0.744 0.268
O 0.744 0.744 0.744

The 10 most intense peaks (10° ≤ 2θ ≤ 80°), most intense first:
2θ/deg	I_rel
32.20	100
56.45	44
33.67	40
16.65	37
51.50	34
39.07	31
79.91	22
67.36	19
42.74	13
66.49	12